Structure and computed PXRD pattern of La2Si3Ni (a DFT-relaxed cell (PBE, Alexandria); Cu Kα (λ = 1.5418 Å)).

Top 6 peaks for 2θ = 15–90°, by intensity:
hkl 1 0 2, 2θ = 32.59°, I 100; hkl 1 0 0, 2θ = 25.15°, I 31; hkl 1 1 0, 2θ = 44.31°, I 31; hkl 1 1 4, 2θ = 62.30°, I 22; hkl 2 0 2, 2θ = 56.08°, I 21; hkl 2 1 2, 2θ = 74.12°, I 18

Crystal structure
```
6
Lattice="4.088 0.000 0.000 -2.044 3.541 0.000 0.000 0.000 8.709" Properties=species:S:1:pos:R:3 pbc="T T T"
La 0.000 0.000 2.128
La 0.000 0.000 6.581
Si 0.000 2.360 0.000
Si 0.000 2.360 4.355
Si 2.044 1.180 4.355
Ni 2.044 1.180 0.000
```